Structure and simulated X-ray powder pattern of K3V2P2O8F3 (a GGA+U-relaxed structure; Cu Ka).

Top 6 peaks for 5 to 70 degrees two-theta, sorted by position:
2theta, d_spacing, intensity, (hkl)
15.03, 5.895, 21, 2 0 0
26.45, 3.369, 41, 3 1 1
27.25, 3.273, 39, 0 2 2
31.26, 2.861, 100, 2 2 2
31.39, 2.850, 21, 3 1 2
65.51, 1.425, 21, 6 4 2

Structure:
```
data_K3V2P2O8F3
_chemical_formula_sum 'K12 V8 P8 O32 F12'
_cell_length_a 11.790
_cell_length_b 9.238
_cell_length_c 9.275
_cell_angle_alpha 90.00
_cell_angle_beta 90.00
_cell_angle_gamma 90.00
_space_group_name_H-M_alt 'C m c m'
_space_group_IT_number 63
_space_group_name_Hall '-C 2c 2'
loop_
_atom_site_label
_atom_site_fract_x
_atom_site_fract_y
_atom_site_fract_z
K1 0.000 0.027 0.250
K2 0.000 0.316 0.046
V1 0.184 0.256 0.750
P1 0.241 0.000 0.000
O1 0.163 0.100 0.592
O2 0.179 0.409 0.598
F1 0.000 0.263 0.750
F2 0.147 0.250 0.250
```